(1)
# Nd4Ga18Ni
Theoretical XRD peak list, Cu Kα (λ = 1.5418 Å). Input: the PBE geometry in Alexandria.

Peak list (6 most intense, 10 to 80 degrees two-theta, by angle)
32.1 deg, rel. 884; 32.5 deg, rel. 897; 34.6 deg, rel. 484; 41.0 deg, rel. 1000; 53.0 deg, rel. 437; 59.3 deg, rel. 327

Crystal structure
Unit cell a=23.6693 b=23.6693 c=23.6693 alpha=169.32 beta=169.32 gamma=15.12
Atoms (fractional coordinates):
Nd 0.0784 0.0784 0.0000
Nd 0.3066 0.3066 0.0000
Nd 0.6934 0.6934 0.0000
Nd 0.9216 0.9216 0.0000
Ga 0.0271 0.5271 0.5000
Ga 0.1384 0.6384 0.5000
Ga 0.1680 0.1680 0.0000
Ga 0.2205 0.2205 0.0000
Ga 0.2500 0.7500 0.5000
Ga 0.3616 0.8616 0.5000
Ga 0.3906 0.3906 0.0000
Ga 0.4428 0.4428 0.0000
Ga 0.4729 0.9729 0.5000
Ga 0.5271 0.0271 0.5000
Ga 0.5572 0.5572 0.0000
Ga 0.6094 0.6094 0.0000
Ga 0.6384 0.1384 0.5000
Ga 0.7500 0.2500 0.5000
Ga 0.7795 0.7795 0.0000
Ga 0.8320 0.8320 0.0000
Ga 0.8616 0.3616 0.5000
Ga 0.9729 0.4729 0.5000
Ni 0.0000 0.0000 0.0000

(2)
# Nd6GaNi
Theoretical XRD peak list, Cu Kα (λ = 1.5418 Å). Input: the PBE geometry in Alexandria.

Peak list (6 most intense, 10 to 80 degrees two-theta, by angle)
25.2 deg, rel. 358; 28.6 deg, rel. 421; 29.0 deg, rel. 595; 31.7 deg, rel. 376; 32.7 deg, rel. 1000; 44.1 deg, rel. 267

Crystal structure
Unit cell a=6.6530 b=6.6530 c=6.5772 alpha=100.05 beta=100.05 gamma=111.90
Atoms (fractional coordinates):
Nd 0.0120 0.3801 0.2551
Nd 0.2600 0.2600 0.7968
Nd 0.3801 0.0120 0.2551
Nd 0.6199 0.9880 0.7449
Nd 0.7400 0.7400 0.2032
Nd 0.9880 0.6199 0.7449
Ga 0.5000 0.5000 0.5000
Ni 0.0000 0.0000 0.0000

(3)
# Nd2Ga3Ni4Pt
Theoretical XRD peak list, Cu Kα (λ = 1.5418 Å). Input: the PBE geometry in Alexandria.

Peak list (6 most intense, 10 to 80 degrees two-theta, by angle)
34.2 deg, rel. 482; 35.6 deg, rel. 1000; 44.1 deg, rel. 499; 49.9 deg, rel. 207; 57.0 deg, rel. 220; 75.6 deg, rel. 216

Crystal structure
Unit cell a=4.1029 b=4.1029 c=10.2170 alpha=90.00 beta=90.00 gamma=90.00
Atoms (fractional coordinates):
Nd 0.0000 0.5000 0.2487
Nd 0.5000 0.0000 0.7513
Ga 0.0000 0.0000 0.0000
Ga 0.0000 0.5000 0.6222
Ga 0.5000 0.0000 0.3778
Ni 0.0000 0.0000 0.5000
Ni 0.0000 0.5000 0.8561
Ni 0.5000 0.0000 0.1439
Ni 0.5000 0.5000 0.5000
Pt 0.5000 0.5000 0.0000

(4)
# Nd2Ga2NiRh5
Theoretical XRD peak list, Cu Kα (λ = 1.5418 Å). Input: the PBE geometry in Alexandria.

Peak list (6 most intense, 10 to 80 degrees two-theta, by angle)
32.4 deg, rel. 245; 37.5 deg, rel. 574; 38.4 deg, rel. 1000; 38.6 deg, rel. 270; 41.6 deg, rel. 368; 65.5 deg, rel. 220

Crystal structure
Unit cell a=9.8851 b=9.8851 c=3.5463 alpha=90.00 beta=90.00 gamma=90.00
Atoms (fractional coordinates):
Nd 0.1754 0.3246 0.0000
Nd 0.3246 0.8246 0.0000
Nd 0.6754 0.1754 0.0000
Nd 0.8246 0.6754 0.0000
Ga 0.1248 0.6248 0.0000
Ga 0.3752 0.1248 0.0000
Ga 0.6248 0.8752 0.0000
Ga 0.8752 0.3752 0.0000
Ni 0.0000 0.0000 0.0000
Ni 0.5000 0.5000 0.0000
Rh 0.0000 0.5000 0.5000
Rh 0.0617 0.7995 0.5000
Rh 0.2005 0.0617 0.5000
Rh 0.2995 0.5617 0.5000
Rh 0.4383 0.2995 0.5000
Rh 0.5000 0.0000 0.5000
Rh 0.5617 0.7005 0.5000
Rh 0.7005 0.4383 0.5000
Rh 0.7995 0.9383 0.5000
Rh 0.9383 0.2005 0.5000